KFeMo2O8: computed powder diffractogram (Cu Kα (weighted mean of Kα1 and Kα2)), based on DFT lattice parameters and positions (GGA+U).
No peak broadening, texture or thermal motion is included.

Peak list (10 most intense, 5° ≤ 2θ ≤ 70°, in order of rising 2θ)
- 21.48 deg, rel. 100.0, hkl 0 1 2
- 30.05 deg, rel. 32.6, hkl 0 1 4
- 31.06 deg, rel. 41.9, hkl 1 1 0
- 40.78 deg, rel. 10.5, hkl 1 0 6
- 43.77 deg, rel. 15.5, hkl 0 2 4
- 49.93 deg, rel. 19.2, hkl 1 2 2
- 54.63 deg, rel. 12.1, hkl 1 2 4
- 55.26 deg, rel. 7.9, hkl 3 0 0
- 59.33 deg, rel. 14.3, hkl 1 1 8
- 64.76 deg, rel. 8.0, hkl 2 2 0

Crystal structure
a b c (Å): 5.758 5.758 14.816
angles (deg): 90.00 90.00 120.00
Sites, in units of the cell vectors:
K: 0.000 0.000 0.250
K: 0.000 0.000 0.750
Fe: 0.000 0.000 0.000
Fe: 0.000 0.000 0.500
Mo: 0.333 0.667 0.118
Mo: 0.333 0.667 0.618
Mo: 0.667 0.333 0.382
Mo: 0.667 0.333 0.882
O: 0.134 0.322 0.081
O: 0.134 0.812 0.581
O: 0.188 0.322 0.581
O: 0.188 0.866 0.081
O: 0.322 0.134 0.419
O: 0.322 0.188 0.919
O: 0.333 0.667 0.236
O: 0.333 0.667 0.736
O: 0.667 0.333 0.264
O: 0.667 0.333 0.764
O: 0.678 0.812 0.081
O: 0.678 0.866 0.581
O: 0.812 0.134 0.919
O: 0.812 0.678 0.419
O: 0.866 0.188 0.419
O: 0.866 0.678 0.919



CoI2O8: computed powder diffractogram (Cu Kα (weighted mean of Kα1 and Kα2)), based on DFT lattice parameters and positions (GGA+U).
No peak broadening, texture or thermal motion is included.

Peak list (10 most intense, 5° ≤ 2θ ≤ 70°, in order of rising 2θ)
- 17.74 deg, rel. 100.0, hkl 0 0 2
- 23.24 deg, rel. 72.5, hkl 1 1 0
- 23.38 deg, rel. 70.8, hkl 0 1 -2
- 24.26 deg, rel. 73.6, hkl 1 1 1
- 25.43 deg, rel. 47.9, hkl 1 -1 1
- 25.54 deg, rel. 71.5, hkl 1 1 -1
- 28.88 deg, rel. 72.5, hkl -1 1 2
- 30.15 deg, rel. 57.8, hkl 1 -1 2
- 30.77 deg, rel. 61.3, hkl 0 2 2
- 37.08 deg, rel. 46.4, hkl 1 1 -3

Crystal structure
a b c (Å): 4.663 6.670 10.057
angles (deg): 84.04 88.83 89.44
Sites, in units of the cell vectors:
Co: 0.000 0.000 0.000
Co: 0.000 0.000 0.500
I: 0.084 0.713 0.269
I: 0.392 0.765 0.769
I: 0.608 0.235 0.231
I: 0.916 0.287 0.731
O: 0.162 0.579 0.860
O: 0.188 0.784 0.610
O: 0.223 0.192 0.045
O: 0.230 0.194 0.528
O: 0.233 0.803 0.100
O: 0.235 0.999 0.840
O: 0.241 0.931 0.353
O: 0.376 0.539 0.313
O: 0.624 0.461 0.687
O: 0.759 0.069 0.647
O: 0.765 0.001 0.160
O: 0.767 0.197 0.900
O: 0.770 0.806 0.472
O: 0.777 0.808 0.955
O: 0.812 0.216 0.390
O: 0.838 0.421 0.140



SmCuW2O8: computed powder diffractogram (Cu Kα (weighted mean of Kα1 and Kα2)), based on DFT lattice parameters and positions (GGA+U).
No peak broadening, texture or thermal motion is included.

Peak list (10 most intense, 5° ≤ 2θ ≤ 70°, in order of rising 2θ)
- 17.34 deg, rel. 51.2, hkl 1 1 -1
- 21.73 deg, rel. 53.9, hkl 1 1 0
- 24.24 deg, rel. 49.1, hkl 1 1 -2
- 26.83 deg, rel. 75.9, hkl 0 1 -2
- 27.16 deg, rel. 54.0, hkl 0 2 0
- 27.53 deg, rel. 78.0, hkl 1 -2 0
- 28.05 deg, rel. 44.5, hkl 2 1 -1
- 28.37 deg, rel. 100.0, hkl 2 0 0
- 29.63 deg, rel. 57.7, hkl 2 0 -2
- 34.35 deg, rel. 51.5, hkl -1 1 2

Crystal structure
a b c (Å): 7.231 7.401 7.418
angles (deg): 114.08 116.38 90.61
Sites, in units of the cell vectors:
Sm: 0.175 0.284 0.441
Sm: 0.825 0.716 0.559
Cu: 0.262 0.720 0.134
Cu: 0.738 0.280 0.866
W: 0.263 0.299 0.017
W: 0.350 0.888 0.706
W: 0.650 0.112 0.294
W: 0.737 0.701 0.983
O: 0.031 0.298 0.067
O: 0.136 0.985 0.792
O: 0.180 0.629 0.555
O: 0.182 0.336 0.769
O: 0.288 0.963 0.485
O: 0.386 0.188 0.260
O: 0.447 0.554 0.248
O: 0.484 0.830 0.020
O: 0.516 0.170 0.980
O: 0.553 0.446 0.752
O: 0.614 0.812 0.740
O: 0.712 0.037 0.515
O: 0.818 0.664 0.231
O: 0.820 0.371 0.445
O: 0.864 0.015 0.208
O: 0.969 0.702 0.933



MgCoHO2: computed powder diffractogram (Cu Kα (weighted mean of Kα1 and Kα2)), based on DFT lattice parameters and positions (GGA+U).
No peak broadening, texture or thermal motion is included.

Peak list (10 most intense, 5° ≤ 2θ ≤ 70°, in order of rising 2θ)
- 15.89 deg, rel. 65.0, hkl 0 0 1
- 30.77 deg, rel. 71.5, hkl 1 1 0
- 32.12 deg, rel. 100.0, hkl 0 0 2
- 37.29 deg, rel. 83.8, hkl 2 0 -2
- 40.77 deg, rel. 32.3, hkl 2 0 1
- 49.02 deg, rel. 18.4, hkl 0 0 3
- 53.76 deg, rel. 44.5, hkl 3 1 -1
- 53.86 deg, rel. 17.4, hkl 0 2 0
- 63.94 deg, rel. 20.3, hkl 2 0 -4
- 64.04 deg, rel. 42.4, hkl 1 1 3

Crystal structure
a b c (Å): 5.908 3.404 5.918
angles (deg): 90.00 109.53 90.00
Sites, in units of the cell vectors:
Mg: 0.000 0.000 0.000
Mg: 0.500 0.500 0.000
Co: 0.300 0.500 0.393
Co: 0.800 0.000 0.393
H: 0.233 0.000 0.702
H: 0.733 0.500 0.702
O: 0.120 0.000 0.357
O: 0.294 0.000 0.882
O: 0.620 0.500 0.357
O: 0.794 0.500 0.882